# 1
This entry pairs a crystal structure of La4Ho3Er with its theoretical powder diffraction line list. Radiation: Cu Kα (λ = 1.5418 Å). Structure: a PBE-relaxed structure.

Top 6 peaks for 2θ = 5–70°, by angle:
Position (°2θ), Rel. int.
30.13, 100
34.87, 34
35.05, 16
50.27, 24
59.61, 29
59.85, 13

Atomic structure:
```
La4Ho3Er
1.0
5.1459 0.0000 0.0000
0.0000 10.2931 0.0000
0.0000 0.0000 10.2415
La Ho Er
8 6 2
direct
0.2500 0.0000 0.1280
0.2500 0.2500 0.8722
0.2500 0.5000 0.1280
0.2500 0.7500 0.8724
0.7500 0.0000 0.8720
0.7500 0.2500 0.1276
0.7500 0.5000 0.8720
0.7500 0.7500 0.1278
0.2500 0.0000 0.6160
0.2500 0.2500 0.3841
0.2500 0.5000 0.6160
0.7500 0.0000 0.3840
0.7500 0.5000 0.3840
0.7500 0.7500 0.6159
0.2500 0.7500 0.3841
0.7500 0.2500 0.6159
```



# 2
This entry pairs a crystal structure of ErTcSn6 with its theoretical powder diffraction line list. Radiation: Cu Kα (λ = 1.5418 Å). Structure: a PBE-relaxed structure.

Top 6 peaks for 2θ = 5–70°, by angle:
Position (°2θ), Rel. int.
31.01, 68
32.53, 36
36.41, 100
38.29, 69
51.10, 34
53.44, 32

Atomic structure:
```
ErTcSn6
1.0
4.7013 2.7143 2.7528
-4.7013 2.7143 2.7528
0.0000 -5.4286 2.7528
Er Tc Sn
1 1 6
direct
0.0000 0.0000 0.0000
0.5000 0.5000 0.5000
0.1985 0.1985 0.6211
0.1985 0.6211 0.1985
0.3789 0.8015 0.8015
0.6211 0.1985 0.1985
0.8015 0.3789 0.8015
0.8015 0.8015 0.3789
```



# 3
This entry pairs a crystal structure of BaTl2Se2 with its theoretical powder diffraction line list. Radiation: Cu Kα (λ = 1.5418 Å). Structure: a PBE-relaxed structure.

Top 6 peaks for 2θ = 5–70°, by angle:
Position (°2θ), Rel. int.
25.42, 13
27.04, 100
38.18, 32
39.06, 41
48.15, 21
63.66, 18

Atomic structure:
```
BaTl2Se2
1.0
2.3062 1.3315 9.7340
-2.3062 1.3315 9.7340
0.0000 -2.6630 9.7340
Ba Tl Se
1 2 2
direct
0.0000 0.0000 0.0000
0.2113 0.2113 0.2113
0.7887 0.7887 0.7887
0.3998 0.3998 0.3998
0.6002 0.6002 0.6002
```



# 4
This entry pairs a crystal structure of CsK2RbAu2 with its theoretical powder diffraction line list. Radiation: Cu Kα (λ = 1.5418 Å). Structure: a PBE-relaxed structure.

Top 6 peaks for 2θ = 5–70°, by angle:
Position (°2θ), Rel. int.
19.05, 56
20.83, 53
27.12, 100
29.57, 47
33.08, 41
34.28, 42

Atomic structure:
```
CsK2RbAu2
1.0
5.4167 0.0000 0.0000
0.0000 10.9202 0.0000
0.0000 0.0000 8.9415
Cs K Rb Au
2 4 2 4
direct
0.0000 0.0776 0.0000
0.0000 0.9224 0.5000
0.0000 0.3321 0.3765
0.0000 0.6679 0.8765
0.5000 0.4197 0.0517
0.5000 0.5803 0.5517
0.5000 0.1893 0.6674
0.5000 0.8107 0.1674
0.0000 0.3668 0.7809
0.0000 0.6332 0.2809
0.5000 0.1324 0.2786
0.5000 0.8676 0.7786
```



# 5
This entry pairs a crystal structure of ThMg15Pb4 with its theoretical powder diffraction line list. Radiation: Cu Kα (λ = 1.5418 Å). Structure: a PBE-relaxed structure.

Top 6 peaks for 2θ = 5–70°, by angle:
Position (°2θ), Rel. int.
19.09, 40
19.27, 77
27.25, 69
27.38, 34
33.59, 100
43.90, 40

Atomic structure:
```
ThMg15Pb4
1.0
4.6072 0.0000 0.0000
0.0000 4.6072 0.0000
0.0000 0.0000 23.2402
Th Mg Pb
1 15 4
direct
0.0000 0.0000 0.0000
0.0000 0.5000 0.1041
0.0000 0.5000 0.3027
0.0000 0.5000 0.5000
0.0000 0.5000 0.6973
0.0000 0.5000 0.8959
0.5000 0.0000 0.1041
0.5000 0.0000 0.3027
0.5000 0.0000 0.5000
0.5000 0.0000 0.6973
0.5000 0.0000 0.8959
0.5000 0.5000 0.0000
0.5000 0.5000 0.2061
0.5000 0.5000 0.4018
0.5000 0.5000 0.5982
0.5000 0.5000 0.7939
0.0000 0.0000 0.2001
0.0000 0.0000 0.4003
0.0000 0.0000 0.5997
0.0000 0.0000 0.7999
```



# 6
This entry pairs a crystal structure of K2Tl2Br7 with its theoretical powder diffraction line list. Radiation: Cu Kα (λ = 1.5418 Å). Structure: a PBE-relaxed structure.

Top 6 peaks for 2θ = 5–70°, by angle:
Position (°2θ), Rel. int.
14.82, 94
18.57, 100
18.76, 76
20.63, 77
25.29, 39
34.03, 46

Atomic structure:
```
K2Tl2Br7
1.0
6.8715 0.0000 0.0000
0.0000 16.6882 0.0000
-1.2483 0.0000 8.5635
K Tl Br
4 4 14
direct
0.1461 0.1432 0.4153
0.1461 0.3568 0.9153
0.8539 0.6432 0.0847
0.8539 0.8568 0.5847
0.3253 0.6214 0.6524
0.3253 0.8786 0.1524
0.6747 0.1214 0.8476
0.6747 0.3786 0.3476
0.0065 0.6786 0.4656
0.0065 0.8214 0.9656
0.2052 0.5535 0.9102
0.2052 0.9465 0.4102
0.4173 0.2337 0.7165
0.4173 0.2663 0.2165
0.5000 0.0000 0.0000
0.5000 0.5000 0.5000
0.5827 0.7337 0.7835
0.5827 0.7663 0.2835
0.7948 0.0535 0.5898
0.7948 0.4465 0.0898
0.9935 0.1786 0.0344
0.9935 0.3214 0.5344
```



What did the fifth record say?
This entry pairs a crystal structure of ThMg15Pb4 with its theoretical powder diffraction line list. Radiation: Cu Kα (λ = 1.5418 Å). Structure: a PBE-relaxed structure.

Top 6 peaks for 2θ = 5–70°, by angle:
Position (°2θ), Rel. int.
19.09, 40
19.27, 77
27.25, 69
27.38, 34
33.59, 100
43.90, 40

Atomic structure:
```
ThMg15Pb4
1.0
4.6072 0.0000 0.0000
0.0000 4.6072 0.0000
0.0000 0.0000 23.2402
Th Mg Pb
1 15 4
direct
0.0000 0.0000 0.0000
0.0000 0.5000 0.1041
0.0000 0.5000 0.3027
0.0000 0.5000 0.5000
0.0000 0.5000 0.6973
0.0000 0.5000 0.8959
0.5000 0.0000 0.1041
0.5000 0.0000 0.3027
0.5000 0.0000 0.5000
0.5000 0.0000 0.6973
0.5000 0.0000 0.8959
0.5000 0.5000 0.0000
0.5000 0.5000 0.2061
0.5000 0.5000 0.4018
0.5000 0.5000 0.5982
0.5000 0.5000 0.7939
0.0000 0.0000 0.2001
0.0000 0.0000 0.4003
0.0000 0.0000 0.5997
0.0000 0.0000 0.7999
```



Copy entry 2 word for word.
This entry pairs a crystal structure of ErTcSn6 with its theoretical powder diffraction line list. Radiation: Cu Kα (λ = 1.5418 Å). Structure: a PBE-relaxed structure.

Top 6 peaks for 2θ = 5–70°, by angle:
Position (°2θ), Rel. int.
31.01, 68
32.53, 36
36.41, 100
38.29, 69
51.10, 34
53.44, 32

Atomic structure:
```
ErTcSn6
1.0
4.7013 2.7143 2.7528
-4.7013 2.7143 2.7528
0.0000 -5.4286 2.7528
Er Tc Sn
1 1 6
direct
0.0000 0.0000 0.0000
0.5000 0.5000 0.5000
0.1985 0.1985 0.6211
0.1985 0.6211 0.1985
0.3789 0.8015 0.8015
0.6211 0.1985 0.1985
0.8015 0.3789 0.8015
0.8015 0.8015 0.3789
```